No. 1
For BaNp2CrO8, DFT lattice parameters and positions (PBE+U) gives the simulated X-ray diffraction stick pattern in this record (CuKα).
Neutral-atom scattering factors, no anomalous dispersion.

Main lines, by intensity (2θ = 10–90°):
- 2θ 24.0, 3.700 Å, I 100
- 2θ 30.5, 2.934 Å, I 90
- 2θ 25.8, 3.450 Å, I 79
- 2θ 31.0, 2.882 Å, I 78
- 2θ 17.6, 5.047 Å, I 73
- 2θ 35.6, 2.524 Å, I 58
- 2θ 46.1, 1.969 Å, I 41
- 2θ 47.3, 1.922 Å, I 32
- 2θ 48.5, 1.876 Å, I 29
- 2θ 48.9, 1.862 Å, I 26

Crystal structure
```
data_BaNp2CrO8
_symmetry_space_group_name_H-M 'P 1'
_symmetry_Int_Tables_number 1
_symmetry_space_group_name_Hall 'P 1'
_cell_length_a 5.060
_cell_length_b 5.060
_cell_length_c 7.118
_cell_angle_alpha 91.16
_cell_angle_beta 91.16
_cell_angle_gamma 85.96
loop_
_atom_site_label
_atom_site_type_symbol
_atom_site_fract_x
_atom_site_fract_y
_atom_site_fract_z
Ba1 Ba 0.000 0.000 0.000
Np1 Np 0.493 0.493 0.734
Np2 Np 0.507 0.507 0.266
Cr1 Cr 0.000 0.000 0.500
O1 O 0.209 0.788 0.300
O2 O 0.212 0.791 0.700
O3 O 0.304 0.304 0.504
O4 O 0.340 0.340 0.027
O5 O 0.660 0.660 0.973
O6 O 0.696 0.696 0.496
O7 O 0.788 0.209 0.300
O8 O 0.791 0.212 0.700
```


No. 2
For BaCr10O15, DFT lattice parameters and positions (PBE+U) gives the simulated X-ray diffraction stick pattern in this record (CuKα).
Neutral-atom scattering factors, no anomalous dispersion.

Main lines, by intensity (2θ = 10–90°):
- 2θ 30.1, 2.967 Å, I 100
- 2θ 39.9, 2.258 Å, I 67
- 2θ 45.4, 1.999 Å, I 67
- 2θ 26.0, 3.422 Å, I 64
- 2θ 28.3, 3.155 Å, I 60
- 2θ 30.7, 2.914 Å, I 56
- 2θ 52.2, 1.752 Å, I 54
- 2θ 62.0, 1.497 Å, I 54
- 2θ 36.4, 2.471 Å, I 41
- 2θ 63.5, 1.465 Å, I 36

Crystal structure
```
data_BaCr10O15
_symmetry_space_group_name_H-M 'P 1'
_symmetry_Int_Tables_number 1
_symmetry_space_group_name_Hall 'P 1'
_cell_length_a 7.853
_cell_length_b 7.853
_cell_length_c 9.626
_cell_angle_alpha 90.00
_cell_angle_beta 90.00
_cell_angle_gamma 83.43
loop_
_atom_site_label
_atom_site_type_symbol
_atom_site_fract_x
_atom_site_fract_y
_atom_site_fract_z
Ba1 Ba 0.000 0.000 0.000
Ba2 Ba 0.500 0.500 0.500
Cr1 Cr 0.043 0.211 0.643
Cr2 Cr 0.082 0.407 0.115
Cr3 Cr 0.093 0.418 0.385
Cr4 Cr 0.183 0.817 0.635
Cr5 Cr 0.211 0.043 0.357
Cr6 Cr 0.289 0.457 0.857
Cr7 Cr 0.317 0.683 0.135
Cr8 Cr 0.407 0.082 0.885
Cr9 Cr 0.418 0.093 0.615
Cr10 Cr 0.457 0.289 0.143
Cr11 Cr 0.543 0.711 0.857
Cr12 Cr 0.582 0.907 0.385
Cr13 Cr 0.593 0.918 0.115
Cr14 Cr 0.683 0.317 0.865
Cr15 Cr 0.711 0.543 0.143
Cr16 Cr 0.789 0.957 0.643
Cr17 Cr 0.817 0.183 0.365
Cr18 Cr 0.907 0.582 0.615
Cr19 Cr 0.918 0.593 0.885
Cr20 Cr 0.957 0.789 0.357
O1 O 0.000 0.000 0.500
O2 O 0.041 0.222 0.260
O3 O 0.065 0.435 0.750
O4 O 0.104 0.635 0.495
O5 O 0.135 0.604 0.995
O6 O 0.145 0.855 0.240
O7 O 0.222 0.041 0.740
O8 O 0.244 0.244 0.500
O9 O 0.256 0.256 0.000
O10 O 0.278 0.459 0.240
O11 O 0.355 0.645 0.740
O12 O 0.365 0.896 0.495
O13 O 0.396 0.865 0.995
O14 O 0.435 0.065 0.250
O15 O 0.459 0.278 0.760
O16 O 0.500 0.500 0.000
O17 O 0.541 0.722 0.240
O18 O 0.565 0.935 0.750
O19 O 0.604 0.135 0.005
O20 O 0.635 0.104 0.505
O21 O 0.645 0.355 0.260
O22 O 0.722 0.541 0.760
O23 O 0.744 0.744 0.000
O24 O 0.756 0.756 0.500
O25 O 0.778 0.959 0.260
O26 O 0.855 0.145 0.760
O27 O 0.865 0.396 0.005
O28 O 0.896 0.365 0.505
O29 O 0.935 0.565 0.250
O30 O 0.959 0.778 0.740
```


No. 3
For Ba3Cr2O8, DFT lattice parameters and positions (PBE+U) gives the simulated X-ray diffraction stick pattern in this record (CuKα).
Neutral-atom scattering factors, no anomalous dispersion.

Main lines, by intensity (2θ = 10–90°):
- 2θ 27.1, 3.290 Å, I 100
- 2θ 30.6, 2.923 Å, I 86
- 2θ 52.3, 1.750 Å, I 30
- 2θ 41.3, 2.187 Å, I 27
- 2θ 45.6, 1.990 Å, I 25
- 2θ 41.4, 2.182 Å, I 14
- 2θ 39.3, 2.293 Å, I 11
- 2θ 24.1, 3.697 Å, I 11
- 2θ 54.4, 1.687 Å, I 11
- 2θ 63.7, 1.461 Å, I 9

Crystal structure
```
data_Ba3Cr2O8
_symmetry_space_group_name_H-M 'P 1'
_symmetry_Int_Tables_number 1
_symmetry_space_group_name_Hall 'P 1'
_cell_length_a 5.844
_cell_length_b 5.847
_cell_length_c 14.811
_cell_angle_alpha 101.24
_cell_angle_beta 90.09
_cell_angle_gamma 119.94
loop_
_atom_site_label
_atom_site_type_symbol
_atom_site_fract_x
_atom_site_fract_y
_atom_site_fract_z
Ba1 Ba 0.000 0.000 0.000
Ba2 Ba 0.073 0.179 0.310
Ba3 Ba 0.366 0.766 0.190
Ba4 Ba 0.485 0.005 0.500
Ba5 Ba 0.575 0.180 0.810
Ba6 Ba 0.869 0.767 0.690
Cr1 Cr 0.176 0.380 0.610
Cr2 Cr 0.267 0.567 0.890
Cr3 Cr 0.673 0.380 0.110
Cr4 Cr 0.767 0.565 0.390
O1 O 0.077 0.705 0.349
O2 O 0.097 0.218 0.846
O3 O 0.099 0.707 0.847
O4 O 0.117 0.257 0.493
O5 O 0.267 0.610 0.007
O6 O 0.350 0.729 0.648
O7 O 0.358 0.256 0.654
O8 O 0.369 0.255 0.155
O9 O 0.579 0.707 0.852
O10 O 0.594 0.217 0.345
O11 O 0.594 0.267 0.993
O12 O 0.598 0.707 0.351
O13 O 0.789 0.602 0.507
O14 O 0.852 0.729 0.149
O15 O 0.854 0.252 0.151
O16 O 0.869 0.254 0.653
```


No. 4
For Ba3Cr2O8, DFT lattice parameters and positions (PBE+U) gives the simulated X-ray diffraction stick pattern in this record (CuKα).
Neutral-atom scattering factors, no anomalous dispersion.

Main lines, by intensity (2θ = 10–90°):
- 2θ 27.1, 3.290 Å, I 100
- 2θ 30.6, 2.923 Å, I 86
- 2θ 52.3, 1.750 Å, I 30
- 2θ 41.3, 2.187 Å, I 27
- 2θ 45.6, 1.990 Å, I 25
- 2θ 54.4, 1.688 Å, I 16
- 2θ 63.7, 1.462 Å, I 14
- 2θ 41.4, 2.181 Å, I 14
- 2θ 65.0, 1.435 Å, I 12
- 2θ 39.3, 2.293 Å, I 11

Crystal structure
```
data_Ba3Cr2O8
_symmetry_space_group_name_H-M 'P 1'
_symmetry_Int_Tables_number 1
_symmetry_space_group_name_Hall 'P 1'
_cell_length_a 5.845
_cell_length_b 5.845
_cell_length_c 7.954
_cell_angle_alpha 111.39
_cell_angle_beta 111.39
_cell_angle_gamma 60.06
loop_
_atom_site_label
_atom_site_type_symbol
_atom_site_fract_x
_atom_site_fract_y
_atom_site_fract_z
Ba1 Ba 0.000 0.000 0.000
Ba2 Ba 0.177 0.235 0.619
Ba3 Ba 0.765 0.823 0.381
Cr1 Cr 0.378 0.436 0.221
Cr2 Cr 0.564 0.622 0.779
O1 O 0.216 0.747 0.690
O2 O 0.252 0.295 0.304
O3 O 0.253 0.784 0.310
O4 O 0.263 0.396 0.986
O5 O 0.604 0.737 0.014
O6 O 0.705 0.273 0.703
O7 O 0.705 0.748 0.696
O8 O 0.727 0.295 0.297
```


No. 5
For BaCr4O7, DFT lattice parameters and positions (PBE+U) gives the simulated X-ray diffraction stick pattern in this record (CuKα).
Neutral-atom scattering factors, no anomalous dispersion.

Main lines, by intensity (2θ = 10–90°):
- 2θ 17.6, 5.026 Å, I 100
- 2θ 32.5, 2.753 Å, I 92
- 2θ 32.0, 2.800 Å, I 83
- 2θ 29.6, 3.014 Å, I 40
- 2θ 33.7, 2.663 Å, I 30
- 2θ 55.9, 1.645 Å, I 29
- 2θ 53.7, 1.706 Å, I 26
- 2θ 51.0, 1.790 Å, I 22
- 2θ 27.1, 3.291 Å, I 20
- 2θ 66.8, 1.400 Å, I 20

Crystal structure
```
data_BaCr4O7
_symmetry_space_group_name_H-M 'P 1'
_symmetry_Int_Tables_number 1
_symmetry_space_group_name_Hall 'P 1'
_cell_length_a 6.582
_cell_length_b 6.582
_cell_length_c 10.652
_cell_angle_alpha 90.00
_cell_angle_beta 90.00
_cell_angle_gamma 120.00
loop_
_atom_site_label
_atom_site_type_symbol
_atom_site_fract_x
_atom_site_fract_y
_atom_site_fract_z
Ba1 Ba 0.333 0.667 0.000
Ba2 Ba 0.667 0.333 0.500
Cr1 Cr 0.000 0.000 0.467
Cr2 Cr 0.000 0.000 0.967
Cr3 Cr 0.174 0.348 0.716
Cr4 Cr 0.174 0.826 0.716
Cr5 Cr 0.348 0.174 0.216
Cr6 Cr 0.652 0.826 0.716
Cr7 Cr 0.826 0.174 0.216
Cr8 Cr 0.826 0.652 0.216
O1 O 0.000 0.000 0.271
O2 O 0.000 0.000 0.771
O3 O 0.051 0.525 0.788
O4 O 0.146 0.291 0.545
O5 O 0.146 0.854 0.545
O6 O 0.291 0.146 0.045
O7 O 0.475 0.525 0.788
O8 O 0.475 0.949 0.788
O9 O 0.525 0.051 0.288
O10 O 0.525 0.475 0.288
O11 O 0.709 0.854 0.545
O12 O 0.854 0.146 0.045
O13 O 0.854 0.709 0.045
O14 O 0.949 0.475 0.288
```


No. 6
For BaCrPO4, DFT lattice parameters and positions (PBE+U) gives the simulated X-ray diffraction stick pattern in this record (CuKα).
Neutral-atom scattering factors, no anomalous dispersion.

Main lines, by intensity (2θ = 10–90°):
- 2θ 30.4, 2.936 Å, I 100
- 2θ 18.5, 4.795 Å, I 43
- 2θ 35.9, 2.504 Å, I 40
- 2θ 21.4, 4.153 Å, I 39
- 2θ 54.1, 1.695 Å, I 35
- 2θ 88.0, 1.110 Å, I 19
- 2θ 47.7, 1.905 Å, I 18
- 2θ 57.7, 1.598 Å, I 16
- 2θ 63.3, 1.468 Å, I 16
- 2θ 71.9, 1.313 Å, I 14

Crystal structure
```
data_BaCrPO4
_symmetry_space_group_name_H-M 'P 1'
_symmetry_Int_Tables_number 1
_symmetry_space_group_name_Hall 'P 1'
_cell_length_a 5.873
_cell_length_b 5.873
_cell_length_c 5.873
_cell_angle_alpha 60.00
_cell_angle_beta 60.00
_cell_angle_gamma 60.00
loop_
_atom_site_label
_atom_site_type_symbol
_atom_site_fract_x
_atom_site_fract_y
_atom_site_fract_z
Ba1 Ba 0.000 0.000 0.000
Cr1 Cr 0.750 0.750 0.750
P1 P 0.500 0.500 0.500
O1 O 0.179 0.607 0.607
O2 O 0.607 0.179 0.607
O3 O 0.607 0.607 0.179
O4 O 0.607 0.607 0.607
```


No. 7
For BaPaCr2O6, DFT lattice parameters and positions (PBE+U) gives the simulated X-ray diffraction stick pattern in this record (CuKα).
Neutral-atom scattering factors, no anomalous dispersion.

Main lines, by intensity (2θ = 10–90°):
- 2θ 20.6, 4.305 Å, I 100
- 2θ 43.2, 2.092 Å, I 84
- 2θ 32.1, 2.788 Å, I 68
- 2θ 26.3, 3.386 Å, I 65
- 2θ 14.0, 6.332 Å, I 64
- 2θ 28.2, 3.166 Å, I 31
- 2θ 35.2, 2.552 Å, I 23
- 2θ 57.2, 1.610 Å, I 22
- 2θ 38.5, 2.340 Å, I 22
- 2θ 42.0, 2.152 Å, I 21

Crystal structure
```
data_BaPaCr2O6
_symmetry_space_group_name_H-M 'P 1'
_symmetry_Int_Tables_number 1
_symmetry_space_group_name_Hall 'P 1'
_cell_length_a 7.104
_cell_length_b 7.104
_cell_length_c 7.104
_cell_angle_alpha 46.22
_cell_angle_beta 46.22
_cell_angle_gamma 46.22
loop_
_atom_site_label
_atom_site_type_symbol
_atom_site_fract_x
_atom_site_fract_y
_atom_site_fract_z
Ba1 Ba 0.000 0.000 0.000
Pa1 Pa 0.500 0.500 0.500
Cr1 Cr 0.174 0.174 0.174
Cr2 Cr 0.826 0.826 0.826
O1 O 0.103 0.796 0.432
O2 O 0.204 0.568 0.897
O3 O 0.432 0.103 0.796
O4 O 0.568 0.897 0.204
O5 O 0.796 0.432 0.103
O6 O 0.897 0.204 0.568
```


No. 8
For Ba2CrTcO6, DFT lattice parameters and positions (PBE+U) gives the simulated X-ray diffraction stick pattern in this record (CuKα).
Neutral-atom scattering factors, no anomalous dispersion.

Main lines, by intensity (2θ = 10–90°):
- 2θ 30.7, 2.910 Å, I 100
- 2θ 28.2, 3.167 Å, I 41
- 2θ 42.2, 2.143 Å, I 28
- 2θ 54.6, 1.680 Å, I 24
- 2θ 48.2, 1.887 Å, I 19
- 2θ 23.6, 3.776 Å, I 18
- 2θ 39.1, 2.305 Å, I 18
- 2θ 64.0, 1.455 Å, I 17
- 2θ 36.2, 2.480 Å, I 16
- 2θ 58.3, 1.584 Å, I 15

Crystal structure
```
data_Ba2CrTcO6
_symmetry_space_group_name_H-M 'P 1'
_symmetry_Int_Tables_number 1
_symmetry_space_group_name_Hall 'P 1'
_cell_length_a 10.073
_cell_length_b 10.073
_cell_length_c 10.073
_cell_angle_alpha 33.59
_cell_angle_beta 33.59
_cell_angle_gamma 33.59
loop_
_atom_site_label
_atom_site_type_symbol
_atom_site_fract_x
_atom_site_fract_y
_atom_site_fract_z
Ba1 Ba 0.126 0.126 0.126
Ba2 Ba 0.287 0.287 0.287
Ba3 Ba 0.713 0.713 0.713
Ba4 Ba 0.874 0.874 0.874
Cr1 Cr 0.409 0.409 0.409
Cr2 Cr 0.591 0.591 0.591
Tc1 Tc 0.000 0.000 0.000
Tc2 Tc 0.500 0.500 0.500
O1 O 0.149 0.611 0.611
O2 O 0.203 0.203 0.714
O3 O 0.203 0.714 0.203
O4 O 0.286 0.797 0.797
O5 O 0.389 0.389 0.851
O6 O 0.389 0.851 0.389
O7 O 0.611 0.149 0.611
O8 O 0.611 0.611 0.149
O9 O 0.714 0.203 0.203
O10 O 0.797 0.286 0.797
O11 O 0.797 0.797 0.286
O12 O 0.851 0.389 0.389
```